This entry pairs a crystal structure of Sm2Cl2O with its computed PXRD pattern. Radiation: λ = 1.5418 Å (Cu Kα). Structure: a structure optimized by DFT (GGA-PBE).
Peak positions follow from Bragg's law for the DFT cell and can differ from measured ones.

Structure:
abc: 7.073 7.073 7.073
angles: 122.73 76.44 133.93
Atoms (fractional coordinates):
Sm 0.114 0.196 0.310
Sm 0.386 0.696 0.082
Sm 0.614 0.304 0.918
Sm 0.886 0.804 0.690
Cl 0.130 0.631 0.761
Cl 0.370 0.131 0.501
Cl 0.630 0.869 0.499
Cl 0.870 0.369 0.239
O 0.250 0.250 0.000
O 0.750 0.750 0.000

Most intense lines, 15 to 90 degrees two-theta, in order of rising 2θ:
2theta, I_rel
26.3, 100
32.0, 30
32.2, 28
32.3, 29
39.5, 22
46.3, 37